Entry 1:
Diffraction record for Y12MgCo5. The powder diffractogram is theoretical, not measured: it uses a cell relaxed with GGA-PBE and Cu Kα (weighted mean of Kα1 and Kα2).
Kinematic intensities with the Lorentz-polarization factor, no thermal factor.

The 10 most intense peaks (2θ from 10° to 80°), by angle:
- 13.1°, d = 6.733 Å, I = 21
- 29.5°, d = 3.023 Å, I = 24
- 29.7°, d = 3.010 Å, I = 30
- 32.1°, d = 2.784 Å, I = 100
- 34.4°, d = 2.609 Å, I = 61
- 34.8°, d = 2.575 Å, I = 58
- 35.2°, d = 2.552 Å, I = 62
- 37.9°, d = 2.377 Å, I = 24
- 43.9°, d = 2.062 Å, I = 21
- 59.7°, d = 1.550 Å, I = 28

Structure:
a b c (Å): 8.3586 8.3586 8.3586
angles (deg): 110.68 110.43 107.32
Positions (direct):
Y (0.0124, 0.2055, 0.8069)
Y (0.1842, 0.2921, 0.4763)
Y (0.1842, 0.7079, 0.8921)
Y (0.3136, 0.0073, 0.6937)
Y (0.3136, 0.6199, 0.3063)
Y (0.3986, 0.2055, 0.1931)
Y (0.6014, 0.7945, 0.8069)
Y (0.6864, 0.3801, 0.6937)
Y (0.6864, 0.9927, 0.3063)
Y (0.8158, 0.2921, 0.1079)
Y (0.8158, 0.7079, 0.5237)
Y (0.9876, 0.7945, 0.1931)
Mg (0.5000, 0.5000, 0.0000)
Co (0.0000, 0.0000, 0.0000)
Co (0.1111, 0.6111, 0.5000)
Co (0.3806, 0.0000, 0.3806)
Co (0.6194, 0.0000, 0.6194)
Co (0.8889, 0.3889, 0.5000)

***

Entry 2:
Diffraction record for Tb12Ge5S28. The powder diffractogram is theoretical, not measured: it uses a cell relaxed with GGA-PBE and Cu Kα (weighted mean of Kα1 and Kα2).
Kinematic intensities with the Lorentz-polarization factor, no thermal factor.

The 10 most intense peaks (2θ from 10° to 80°), by angle:
- 20.9°, d = 4.260 Å, I = 31
- 23.6°, d = 3.770 Å, I = 21
- 25.8°, d = 3.448 Å, I = 100
- 36.5°, d = 2.460 Å, I = 39
- 37.2°, d = 2.416 Å, I = 29
- 38.1°, d = 2.363 Å, I = 21
- 41.2°, d = 2.192 Å, I = 23
- 41.6°, d = 2.169 Å, I = 20
- 48.3°, d = 1.885 Å, I = 17
- 51.6°, d = 1.772 Å, I = 17

Structure:
a b c (Å): 9.8398 11.4462 11.4628
angles (deg): 61.64 64.59 64.56
Positions (direct):
Tb (0.0000, 0.0000, 0.0000)
Tb (0.0015, 0.4684, 0.5132)
Tb (0.0752, 0.7031, 0.7109)
Tb (0.0864, 0.1915, 0.2265)
Tb (0.3527, 0.6549, 0.2120)
Tb (0.3545, 0.1751, 0.6716)
Tb (0.4369, 0.8947, 0.3868)
Tb (0.4479, 0.3518, 0.9137)
Tb (0.5642, 0.2327, 0.2707)
Tb (0.5862, 0.7417, 0.7461)
Tb (0.8547, 0.6100, 0.1649)
Tb (0.8685, 0.1337, 0.6303)
Ge (0.2211, 0.6450, 0.9885)
Ge (0.5519, 0.5116, 0.4642)
Ge (0.5547, 0.0017, 0.9524)
Ge (0.8853, 0.4307, 0.8724)
Ge (0.8866, 0.9286, 0.3688)
S (0.0617, 0.1662, 0.7260)
S (0.0667, 0.6562, 0.2257)
S (0.1188, 0.9574, 0.5198)
S (0.1218, 0.4382, 0.7207)
S (0.1230, 0.4562, 0.0243)
S (0.1243, 0.9353, 0.2167)
S (0.3161, 0.1526, 0.9433)
S (0.3169, 0.8274, 0.9448)
S (0.3182, 0.3725, 0.4257)
S (0.3182, 0.6714, 0.4596)
S (0.3581, 0.6382, 0.7612)
S (0.3836, 0.1593, 0.2046)
S (0.4665, 0.4851, 0.0545)
S (0.4770, 0.9848, 0.5451)
S (0.5504, 0.3217, 0.6492)
S (0.5548, 0.8168, 0.1443)
S (0.6369, 0.4702, 0.2667)
S (0.6463, 0.9694, 0.7515)
S (0.6908, 0.6424, 0.4311)
S (0.7123, 0.1211, 0.9116)
S (0.7363, 0.4623, 0.7509)
S (0.7438, 0.9654, 0.2399)
S (0.7933, 0.6306, 0.9089)
S (0.7951, 0.1258, 0.4091)
S (0.8796, 0.2478, 0.0662)
S (0.8929, 0.7344, 0.5522)
S (0.9539, 0.3420, 0.3940)
S (0.9868, 0.8061, 0.9245)

***

Entry 3:
Diffraction record for ThI3F. The powder diffractogram is theoretical, not measured: it uses a cell relaxed with GGA-PBE and Cu Kα (weighted mean of Kα1 and Kα2).
Kinematic intensities with the Lorentz-polarization factor, no thermal factor.

The 10 most intense peaks (2θ from 10° to 80°), by angle:
- 13.8°, d = 6.422 Å, I = 53
- 20.2°, d = 4.405 Å, I = 100
- 21.1°, d = 4.212 Å, I = 35
- 24.8°, d = 3.590 Å, I = 85
- 31.8°, d = 2.816 Å, I = 26
- 32.2°, d = 2.783 Å, I = 34
- 35.4°, d = 2.539 Å, I = 22
- 36.8°, d = 2.441 Å, I = 68
- 44.9°, d = 2.018 Å, I = 42
- 46.7°, d = 1.945 Å, I = 33

Structure:
a b c (Å): 14.3611 14.3611 4.6286
angles (deg): 90.00 90.00 90.00
Positions (direct):
Th (0.1201, 0.1201, 0.0000)
Th (0.3799, 0.6201, 0.5000)
Th (0.6201, 0.3799, 0.5000)
Th (0.8799, 0.8799, 0.0000)
I (0.1006, 0.3245, 0.0000)
I (0.1026, 0.8974, 0.0000)
I (0.1755, 0.6006, 0.5000)
I (0.3245, 0.1006, 0.0000)
I (0.3975, 0.3975, 0.5000)
I (0.3994, 0.8245, 0.5000)
I (0.6006, 0.1755, 0.5000)
I (0.6026, 0.6026, 0.5000)
I (0.6755, 0.8994, 0.0000)
I (0.8245, 0.3994, 0.5000)
I (0.8974, 0.1026, 0.0000)
I (0.8994, 0.6755, 0.0000)
F (0.1118, 0.1118, 0.5000)
F (0.3882, 0.6118, 0.0000)
F (0.6118, 0.3882, 0.0000)
F (0.8882, 0.8882, 0.5000)

***

Entry 4:
Diffraction record for LiPr2Pt9. The powder diffractogram is theoretical, not measured: it uses a cell relaxed with GGA-PBE and Cu Kα (weighted mean of Kα1 and Kα2).
Kinematic intensities with the Lorentz-polarization factor, no thermal factor.

The 10 most intense peaks (2θ from 10° to 80°), by angle:
- 19.0°, d = 4.662 Å, I = 59
- 38.2°, d = 2.358 Å, I = 26
- 38.7°, d = 2.327 Å, I = 100
- 40.4°, d = 2.230 Å, I = 24
- 40.8°, d = 2.214 Å, I = 26
- 41.8°, d = 2.163 Å, I = 71
- 42.0°, d = 2.151 Å, I = 31
- 45.1°, d = 2.009 Å, I = 32
- 62.5°, d = 1.487 Å, I = 27
- 68.7°, d = 1.367 Å, I = 29

Structure:
a b c (Å): 9.4006 9.4006 9.4006
angles (deg): 33.82 33.82 33.82
Positions (direct):
Li (0.0000, 0.0000, 0.0000)
Pr (0.1359, 0.1359, 0.1359)
Pr (0.8641, 0.8641, 0.8641)
Pt (0.0797, 0.5855, 0.5855)
Pt (0.3323, 0.3323, 0.3323)
Pt (0.4145, 0.4145, 0.9203)
Pt (0.4145, 0.9203, 0.4145)
Pt (0.5000, 0.5000, 0.5000)
Pt (0.5855, 0.0797, 0.5855)
Pt (0.5855, 0.5855, 0.0797)
Pt (0.6677, 0.6677, 0.6677)
Pt (0.9203, 0.4145, 0.4145)

***

Entry 5:
Diffraction record for Tl4SnS3. The powder diffractogram is theoretical, not measured: it uses a cell relaxed with GGA-PBE and Cu Kα (weighted mean of Kα1 and Kα2).
Kinematic intensities with the Lorentz-polarization factor, no thermal factor.

The 10 most intense peaks (2θ from 10° to 80°), by angle:
- 25.0°, d = 3.564 Å, I = 18
- 25.3°, d = 3.516 Å, I = 53
- 29.5°, d = 3.027 Å, I = 17
- 31.0°, d = 2.883 Å, I = 100
- 35.0°, d = 2.565 Å, I = 40
- 51.5°, d = 1.776 Å, I = 22
- 51.9°, d = 1.762 Å, I = 14
- 52.5°, d = 1.743 Å, I = 13
- 54.5°, d = 1.685 Å, I = 13
- 65.0°, d = 1.435 Å, I = 20

Structure:
a b c (Å): 8.1107 8.1107 14.2555
angles (deg): 90.00 90.00 90.00
Positions (direct):
Tl (0.0915, 0.6079, 0.1070)
Tl (0.0915, 0.8921, 0.6070)
Tl (0.1079, 0.5915, 0.3930)
Tl (0.1079, 0.9085, 0.8930)
Tl (0.3921, 0.5915, 0.8930)
Tl (0.3921, 0.9085, 0.3930)
Tl (0.4085, 0.6079, 0.6070)
Tl (0.4085, 0.8921, 0.1070)
Tl (0.5915, 0.1079, 0.8930)
Tl (0.5915, 0.3921, 0.3930)
Tl (0.6079, 0.0915, 0.6070)
Tl (0.6079, 0.4085, 0.1070)
Tl (0.8921, 0.0915, 0.1070)
Tl (0.8921, 0.4085, 0.6070)
Tl (0.9085, 0.1079, 0.3930)
Tl (0.9085, 0.3921, 0.8930)
Sn (0.2500, 0.2500, 0.2405)
Sn (0.2500, 0.2500, 0.7405)
Sn (0.7500, 0.7500, 0.2595)
Sn (0.7500, 0.7500, 0.7595)
S (0.0807, 0.5807, 0.7500)
S (0.0807, 0.9193, 0.2500)
S (0.2500, 0.2500, 0.4184)
S (0.2500, 0.2500, 0.9184)
S (0.4193, 0.5807, 0.2500)
S (0.4193, 0.9193, 0.7500)
S (0.5807, 0.0807, 0.2500)
S (0.5807, 0.4193, 0.7500)
S (0.7500, 0.7500, 0.0816)
S (0.7500, 0.7500, 0.5816)
S (0.9193, 0.0807, 0.7500)
S (0.9193, 0.4193, 0.2500)

***

Entry 6:
Diffraction record for LaAl3Au3. The powder diffractogram is theoretical, not measured: it uses a cell relaxed with GGA-PBE and Cu Kα (weighted mean of Kα1 and Kα2).
Kinematic intensities with the Lorentz-polarization factor, no thermal factor.

The 10 most intense peaks (2θ from 10° to 80°), by angle:
- 17.7°, d = 5.022 Å, I = 52
- 28.2°, d = 3.166 Å, I = 35
- 29.6°, d = 3.021 Å, I = 32
- 31.4°, d = 2.847 Å, I = 48
- 32.3°, d = 2.769 Å, I = 37
- 32.5°, d = 2.755 Å, I = 69
- 32.6°, d = 2.747 Å, I = 100
- 35.3°, d = 2.543 Å, I = 52
- 37.1°, d = 2.426 Å, I = 65
- 39.0°, d = 2.309 Å, I = 78

Structure:
a b c (Å): 7.0184 4.6196 8.8164
angles (deg): 90.00 99.58 90.00
Positions (direct):
La (0.1390, 0.2500, 0.3552)
La (0.8610, 0.7500, 0.6448)
Al (0.2915, 0.2500, 0.0224)
Al (0.3379, 0.7500, 0.8332)
Al (0.4495, 0.7500, 0.2536)
Al (0.5505, 0.2500, 0.7464)
Al (0.6621, 0.2500, 0.1668)
Al (0.7085, 0.7500, 0.9776)
Au (0.1216, 0.7500, 0.0600)
Au (0.1727, 0.2500, 0.7206)
Au (0.3783, 0.7500, 0.5441)
Au (0.6217, 0.2500, 0.4559)
Au (0.8273, 0.7500, 0.2794)
Au (0.8784, 0.2500, 0.9400)

***

Entry 7:
Diffraction record for Y2Tm6Pu. The powder diffractogram is theoretical, not measured: it uses a cell relaxed with GGA-PBE and Cu Kα (weighted mean of Kα1 and Kα2).
Kinematic intensities with the Lorentz-polarization factor, no thermal factor.

The 10 most intense peaks (2θ from 10° to 80°), by angle:
- 30.2°, d = 2.959 Å, I = 31
- 32.2°, d = 2.781 Å, I = 100
- 32.4°, d = 2.766 Å, I = 44
- 33.3°, d = 2.688 Å, I = 40
- 33.6°, d = 2.671 Å, I = 51
- 42.9°, d = 2.109 Å, I = 12
- 49.6°, d = 1.840 Å, I = 10
- 52.4°, d = 1.746 Å, I = 13
- 62.9°, d = 1.478 Å, I = 14
- 63.5°, d = 1.464 Å, I = 13

Structure:
a b c (Å): 3.4917 8.5136 9.4378
angles (deg): 102.91 90.01 90.08
Positions (direct):
Y (0.0003, 0.1485, 0.2840)
Y (0.9997, 0.8515, 0.7160)
Tm (0.0007, 0.4780, 0.8160)
Tm (0.4994, 0.8331, 0.3882)
Tm (0.4996, 0.1920, 0.9651)
Tm (0.5004, 0.8080, 0.0349)
Tm (0.5006, 0.1669, 0.6118)
Tm (0.9993, 0.5220, 0.1840)
Pu (0.5000, 0.5000, 0.5000)

***

Entry 8:
Diffraction record for Tb2PmNd6Mg. The powder diffractogram is theoretical, not measured: it uses a cell relaxed with GGA-PBE and Cu Kα (weighted mean of Kα1 and Kα2).
Kinematic intensities with the Lorentz-polarization factor, no thermal factor.

The 10 most intense peaks (2θ from 10° to 80°), by angle:
- 27.6°, d = 3.229 Å, I = 34
- 28.4°, d = 3.139 Å, I = 79
- 29.4°, d = 3.042 Å, I = 83
- 30.6°, d = 2.921 Å, I = 97
- 30.7°, d = 2.911 Å, I = 100
- 31.3°, d = 2.855 Å, I = 69
- 31.6°, d = 2.835 Å, I = 67
- 32.6°, d = 2.746 Å, I = 78
- 33.9°, d = 2.647 Å, I = 41
- 38.3°, d = 2.351 Å, I = 27

Structure:
a b c (Å): 8.8278 8.8278 9.6038
angles (deg): 93.85 93.85 114.73
Positions (direct):
Tb (0.2018, 0.2945, 0.0583)
Tb (0.2945, 0.2018, 0.5583)
Tb (0.7055, 0.7982, 0.4417)
Tb (0.7982, 0.7055, 0.9417)
Pm (0.0272, 0.9728, 0.2500)
Pm (0.9728, 0.0272, 0.7500)
Nd (0.0040, 0.4395, 0.8082)
Nd (0.1148, 0.7606, 0.5531)
Nd (0.2394, 0.8852, 0.9469)
Nd (0.3013, 0.5130, 0.3924)
Nd (0.4395, 0.0040, 0.3082)
Nd (0.4870, 0.6987, 0.1076)
Nd (0.5130, 0.3013, 0.8924)
Nd (0.5605, 0.9960, 0.6918)
Nd (0.6987, 0.4870, 0.6076)
Nd (0.7606, 0.1148, 0.0531)
Nd (0.8852, 0.2394, 0.4469)
Nd (0.9960, 0.5605, 0.1918)
Mg (0.4094, 0.5906, 0.7500)
Mg (0.5906, 0.4094, 0.2500)

***

Entry 9:
Diffraction record for LiMnAgCl6. The powder diffractogram is theoretical, not measured: it uses a cell relaxed with GGA-PBE and Cu Kα (weighted mean of Kα1 and Kα2).
Kinematic intensities with the Lorentz-polarization factor, no thermal factor.

The 10 most intense peaks (2θ from 10° to 80°), by angle:
- 16.3°, d = 5.431 Å, I = 17
- 18.0°, d = 4.920 Å, I = 30
- 22.4°, d = 3.966 Å, I = 100
- 32.4°, d = 2.759 Å, I = 64
- 35.0°, d = 2.560 Å, I = 15
- 36.5°, d = 2.460 Å, I = 25
- 42.4°, d = 2.130 Å, I = 62
- 46.9°, d = 1.935 Å, I = 29
- 50.4°, d = 1.811 Å, I = 34
- 67.9°, d = 1.380 Å, I = 13

Structure:
a b c (Å): 6.2716 6.2716 11.6122
angles (deg): 90.00 90.00 120.00
Positions (direct):
Li (0.3333, 0.6667, 0.2500)
Li (0.6667, 0.3333, 0.7500)
Mn (0.3333, 0.6667, 0.7500)
Mn (0.6667, 0.3333, 0.2500)
Ag (0.0000, 0.0000, 0.0000)
Ag (0.0000, 0.0000, 0.5000)
Cl (0.0287, 0.3724, 0.6356)
Cl (0.0287, 0.6563, 0.8644)
Cl (0.3437, 0.3724, 0.8644)
Cl (0.3437, 0.9713, 0.6356)
Cl (0.3724, 0.0287, 0.1356)
Cl (0.3724, 0.3437, 0.3644)
Cl (0.6276, 0.6563, 0.6356)
Cl (0.6276, 0.9713, 0.8644)
Cl (0.6563, 0.0287, 0.3644)
Cl (0.6563, 0.6276, 0.1356)
Cl (0.9713, 0.3437, 0.1356)
Cl (0.9713, 0.6276, 0.3644)